For ZnBi4O8, a DFT-relaxed cell (PBE, Alexandria) gives the theoretical X-ray powder pattern in this record (Cu Kα, 1.54184 Å).

Main lines, low angle first (10 to 90 degrees two-theta):
Position (°2θ), I_rel
19.5, 452
20.0, 528
27.7, 535
28.2, 621
29.2, 1000
30.0, 620
31.6, 596
32.3, 717
39.3, 336
43.2, 482

Crystal structure
```
ZnBi4O8
1.0
6.8429 -1.7488 0.0000
6.8429 1.7488 0.0000
-3.6509 0.0000 8.9463
Zn Bi O
1 4 8
Direct
0.0000 0.0000 0.0000
0.2397 0.2397 0.9619
0.4290 0.4290 0.6915
0.6966 0.6966 0.3227
0.9759 0.9759 0.3387
0.0395 0.0395 0.7935
0.1500 0.1500 0.4321
0.1571 0.1571 0.1181
0.4210 0.4210 0.9098
0.4582 0.4582 0.4920
0.5237 0.5237 0.2166
0.8256 0.8256 0.6131
0.8268 0.8268 0.0852
```

For Zn2BiO, a DFT-relaxed cell (PBE, Alexandria) gives the theoretical X-ray powder pattern in this record (Cu Kα, 1.54184 Å).

Main lines, low angle first (10 to 90 degrees two-theta):
Position (°2θ), I_rel
18.0, 321
28.4, 1000
30.5, 460
32.0, 131
37.0, 640
46.8, 146
48.0, 351
49.8, 130
54.9, 264
58.4, 132

Crystal structure
```
Zn2BiO
1.0
-2.7933 2.7933 5.1696
2.7933 -2.7933 5.1696
2.7933 2.7933 -5.1696
Zn Bi O
4 2 2
Direct
0.0046 0.6250 0.8796
0.3750 0.2546 0.3796
0.7454 0.1250 0.1204
0.8750 0.9954 0.6204
0.2500 0.7500 0.5000
0.5000 0.5000 0.0000
0.0000 0.0000 0.0000
0.7500 0.2500 0.5000
```

For ZnBi12O20, a DFT-relaxed cell (PBE, Alexandria) gives the theoretical X-ray powder pattern in this record (Cu Kα, 1.54184 Å).

Main lines, low angle first (10 to 90 degrees two-theta):
Position (°2θ), I_rel
24.7, 229
27.7, 1000
30.4, 222
32.9, 683
52.3, 478
53.9, 186
55.5, 286
61.7, 208
78.4, 185
79.8, 153

Crystal structure
```
ZnBi12O20
1.0
-5.1003 5.1003 5.1003
5.1003 -5.1003 5.1003
5.1003 5.1003 -5.1003
Zn Bi O
1 12 20
Direct
0.0000 0.0000 0.0000
0.1413 0.3212 0.8327
0.1673 0.4885 0.3086
0.1799 0.8587 0.6914
0.3086 0.1673 0.4885
0.3212 0.8327 0.1413
0.4885 0.3086 0.1673
0.5115 0.6788 0.8201
0.6788 0.8201 0.5115
0.6914 0.1799 0.8587
0.8201 0.5115 0.6788
0.8327 0.1413 0.3212
0.8587 0.6914 0.1799
0.0000 0.0000 0.3749
0.0000 0.0000 0.7699
0.0000 0.3749 0.0000
0.0000 0.7699 0.0000
0.1182 0.7373 0.3574
0.2301 0.2301 0.2301
0.2392 0.6192 0.8818
0.2627 0.3808 0.6201
0.3574 0.1182 0.7373
0.3749 0.0000 0.0000
0.3799 0.7608 0.6426
0.3808 0.6201 0.2627
0.6192 0.8818 0.2392
0.6201 0.2627 0.3808
0.6251 0.6251 0.6251
0.6426 0.3799 0.7608
0.7373 0.3574 0.1182
0.7608 0.6426 0.3799
0.7699 0.0000 0.0000
0.8818 0.2392 0.6192
```

Q: Which formula does entry 1 have?
A: ZnBi4O8